Diffraction record for Hf2Sc2Sn2C. The XRD peak list is simulated, not measured: it uses DFT lattice parameters and positions (PBE) and Cu Ka.
Peak positions follow from Bragg's law for the DFT cell and can differ from measured ones.

Cell and atoms:
a b c (Å): 4.449 4.449 15.083
angles (deg): 90.00 90.00 90.00
Fractional coordinates of all 14 atoms:
Hf 0.000 0.500 0.000
Hf 0.000 0.500 0.500
Hf 0.500 0.000 0.000
Hf 0.500 0.000 0.500
Sc 0.000 0.000 0.154
Sc 0.000 0.000 0.846
Sc 0.500 0.500 0.346
Sc 0.500 0.500 0.654
Sn 0.000 0.000 0.356
Sn 0.000 0.000 0.644
Sn 0.500 0.500 0.144
Sn 0.500 0.500 0.856
C 0.000 0.000 0.000
C 0.500 0.500 0.500

The 10 most intense peaks (2θ from 10° to 90°), sorted by position:
d/Å, Rel. int., h k l
7.542, 74, 0 0 2
2.903, 79, 1 1 2
2.514, 26, 0 0 6
2.416, 100, 1 1 4
2.224, 49, 2 0 0
1.666, 30, 2 0 6
1.573, 16, 2 2 0
1.383, 17, 3 1 2
1.360, 18, 1 1 10
1.318, 30, 3 1 4